[1]
Diffraction record for RbSn2S. The X-ray powder pattern is computed, not measured: it uses a crystal structure in Alexandria, relaxed with GGA-PBE and copper Kα.
Kinematic intensities with the Lorentz-polarization factor, no thermal factor.

Cell and atoms:
a = 11.085 Å, b = 11.085 Å, c = 11.085 Å
α = 153.75°, β = 153.75°, γ = 37.47°
Fractional coordinates of all 8 atoms:
1 Rb 0.000 0.000 0.000
2 Rb 0.750 0.250 0.500
3 Sn 0.233 0.625 0.108
4 Sn 0.375 0.483 0.608
5 Sn 0.517 0.125 0.892
6 Sn 0.875 0.767 0.392
7 S 0.250 0.750 0.500
8 S 0.500 0.500 0.000

Most intense lines, 2θ = 15–90°, low angle first:
2θ/deg, d_spacing, I_rel
16.89, 5.249, 20
21.74, 4.087, 40
26.43, 3.372, 100
27.66, 3.225, 23
34.16, 2.624, 34
35.99, 2.496, 45
39.71, 2.270, 48
40.28, 2.239, 36
42.16, 2.144, 18
50.69, 1.801, 19


[2]
Diffraction record for Sr6P2NCl3. The X-ray powder pattern is computed, not measured: it uses a crystal structure in Alexandria, relaxed with GGA-PBE and copper Kα.
Kinematic intensities with the Lorentz-polarization factor, no thermal factor.

Cell and atoms:
a = 7.403 Å, b = 7.403 Å, c = 7.593 Å
α = 99.23°, β = 99.23°, γ = 120.13°
Fractional coordinates of all 12 atoms:
1 Sr 0.068 0.371 0.206
2 Sr 0.237 0.237 0.797
3 Sr 0.371 0.068 0.206
4 Sr 0.629 0.932 0.794
5 Sr 0.763 0.763 0.203
6 Sr 0.932 0.629 0.794
7 P 0.332 0.668 0.000
8 P 0.668 0.332 0.000
9 N 0.000 0.000 0.000
10 Cl 0.160 0.840 0.500
11 Cl 0.500 0.500 0.500
12 Cl 0.840 0.160 0.500

Most intense lines, 2θ = 15–90°, low angle first:
2θ/deg, d_spacing, I_rel
24.77, 3.595, 11
25.46, 3.499, 47
29.24, 3.054, 100
29.35, 3.043, 50
31.87, 2.808, 19
37.99, 2.369, 12
41.44, 2.179, 40
42.32, 2.136, 52
52.29, 1.749, 23
57.78, 1.596, 12


[3]
Diffraction record for HfIn2Fe2. The X-ray powder pattern is computed, not measured: it uses a crystal structure in Alexandria, relaxed with GGA-PBE and copper Kα.
Kinematic intensities with the Lorentz-polarization factor, no thermal factor.

Cell and atoms:
a = 6.530 Å, b = 6.530 Å, c = 4.137 Å
α = 90.00°, β = 90.00°, γ = 90.00°
Fractional coordinates of all 10 atoms:
1 Hf 0.000 0.000 0.000
2 Hf 0.500 0.500 0.000
3 In 0.174 0.326 0.500
4 In 0.326 0.826 0.500
5 In 0.674 0.174 0.500
6 In 0.826 0.674 0.500
7 Fe 0.123 0.623 0.000
8 Fe 0.377 0.123 0.000
9 Fe 0.623 0.877 0.000
10 Fe 0.877 0.377 0.000

Most intense lines, 2θ = 15–90°, low angle first:
2θ/deg, d_spacing, I_rel
28.98, 3.081, 43
35.01, 2.563, 94
37.71, 2.386, 100
39.02, 2.309, 23
43.81, 2.066, 95
60.06, 1.540, 14
62.83, 1.479, 12
63.69, 1.461, 46
64.61, 1.442, 20
78.13, 1.223, 18


[4]
Diffraction record for Ba2MgZn6Cu. The X-ray powder pattern is computed, not measured: it uses a crystal structure in Alexandria, relaxed with GGA-PBE and copper Kα.
Kinematic intensities with the Lorentz-polarization factor, no thermal factor.

Cell and atoms:
a = 6.689 Å, b = 6.695 Å, c = 7.204 Å
α = 117.57°, β = 90.05°, γ = 119.90°
Fractional coordinates of all 10 atoms:
1 Ba 0.200 0.402 0.104
2 Ba 0.800 0.598 0.896
3 Mg 0.500 0.000 0.000
4 Zn 0.240 0.881 0.624
5 Zn 0.243 0.482 0.625
6 Zn 0.358 0.115 0.376
7 Zn 0.642 0.885 0.624
8 Zn 0.757 0.518 0.375
9 Zn 0.760 0.119 0.376
10 Cu 0.000 0.000 0.500

Most intense lines, 2θ = 15–90°, low angle first:
2θ/deg, d_spacing, I_rel
26.63, 3.348, 39
28.89, 3.091, 100
30.46, 2.934, 33
32.40, 2.763, 61
36.76, 2.445, 19
37.81, 2.380, 26
41.50, 2.176, 38
48.49, 1.878, 18
49.52, 1.841, 17
54.88, 1.673, 16


[5]
Diffraction record for RbBeF4. The X-ray powder pattern is computed, not measured: it uses a crystal structure in Alexandria, relaxed with GGA-PBE and copper Kα.
Kinematic intensities with the Lorentz-polarization factor, no thermal factor.

Cell and atoms:
a = 7.103 Å, b = 7.103 Å, c = 4.962 Å
α = 109.52°, β = 109.52°, γ = 50.80°
Fractional coordinates of all 12 atoms:
1 Rb 0.168 0.168 0.268
2 Rb 0.832 0.832 0.732
3 Be 0.428 0.428 0.121
4 Be 0.572 0.572 0.879
5 F 0.217 0.619 0.365
6 F 0.305 0.305 0.907
7 F 0.317 0.683 0.000
8 F 0.381 0.783 0.635
9 F 0.619 0.217 0.365
10 F 0.683 0.317 0.000
11 F 0.695 0.695 0.093
12 F 0.783 0.381 0.635

Most intense lines, 2θ = 15–90°, low angle first:
2θ/deg, d_spacing, I_rel
19.50, 4.551, 40
23.12, 3.847, 60
26.78, 3.329, 87
27.42, 3.253, 100
33.02, 2.713, 60
35.46, 2.532, 55
38.46, 2.341, 48
39.84, 2.263, 37
41.36, 2.183, 46
41.73, 2.164, 79


[6]
Diffraction record for Pm6Pr5Al. The X-ray powder pattern is computed, not measured: it uses a crystal structure in Alexandria, relaxed with GGA-PBE and copper Kα.
Kinematic intensities with the Lorentz-polarization factor, no thermal factor.

Cell and atoms:
a = 6.256 Å, b = 6.256 Å, c = 11.978 Å
α = 95.07°, β = 95.07°, γ = 120.14°
Fractional coordinates of all 12 atoms:
1 Pm 0.080 0.401 0.743
2 Pm 0.240 0.240 0.256
3 Pm 0.401 0.080 0.743
4 Pm 0.599 0.920 0.257
5 Pm 0.760 0.760 0.744
6 Pm 0.920 0.599 0.257
7 Pr 0.169 0.831 0.000
8 Pr 0.334 0.666 0.500
9 Pr 0.500 0.500 0.000
10 Pr 0.666 0.334 0.500
11 Pr 0.831 0.169 0.000
12 Al 0.000 0.000 0.500

Most intense lines, 2θ = 15–90°, low angle first:
2θ/deg, d_spacing, I_rel
30.33, 2.947, 100
30.34, 2.946, 33
35.12, 2.555, 45
35.25, 2.546, 22
50.51, 1.807, 16
50.61, 1.804, 31
60.06, 1.540, 37
60.24, 1.536, 18
63.09, 1.474, 16
82.40, 1.170, 15


[7]
Diffraction record for MgAg4Au3. The X-ray powder pattern is computed, not measured: it uses a crystal structure in Alexandria, relaxed with GGA-PBE and copper Kα.
Kinematic intensities with the Lorentz-polarization factor, no thermal factor.

Cell and atoms:
a = 8.931 Å, b = 8.931 Å, c = 8.931 Å
α = 153.69°, β = 153.06°, γ = 38.01°
Fractional coordinates of all 8 atoms:
1 Mg 0.000 0.000 0.000
2 Ag 0.252 0.252 0.000
3 Ag 0.375 0.875 0.500
4 Ag 0.625 0.125 0.500
5 Ag 0.748 0.748 0.000
6 Au 0.123 0.623 0.500
7 Au 0.500 0.500 0.000
8 Au 0.877 0.377 0.500

Most intense lines, 2θ = 15–90°, low angle first:
2θ/deg, d_spacing, I_rel
22.50, 3.952, 14
37.56, 2.395, 100
42.84, 2.111, 17
43.50, 2.081, 17
44.59, 2.032, 15
62.70, 1.482, 11
74.97, 1.267, 13
75.91, 1.253, 13
77.46, 1.232, 12
80.16, 1.197, 11


[8]
Diffraction record for K2Tl3As. The X-ray powder pattern is computed, not measured: it uses a crystal structure in Alexandria, relaxed with GGA-PBE and copper Kα.
Kinematic intensities with the Lorentz-polarization factor, no thermal factor.

Cell and atoms:
a = 6.650 Å, b = 6.650 Å, c = 8.506 Å
α = 129.54°, β = 129.54°, γ = 47.75°
Fractional coordinates of all 6 atoms:
1 K 0.000 0.000 0.000
2 K 0.125 0.125 0.607
3 Tl 0.400 0.400 0.533
4 Tl 0.719 0.719 0.415
5 Tl 0.723 0.723 0.049
6 As 0.400 0.400 0.182

Most intense lines, 2θ = 15–90°, low angle first:
2θ/deg, d_spacing, I_rel
19.37, 4.582, 78
20.89, 4.253, 33
28.33, 3.150, 85
28.67, 3.114, 90
29.25, 3.053, 34
33.20, 2.698, 69
33.28, 2.692, 67
35.05, 2.560, 100
41.59, 2.171, 43
47.71, 1.906, 39


[9]
Diffraction record for Hf6FePd. The X-ray powder pattern is computed, not measured: it uses a crystal structure in Alexandria, relaxed with GGA-PBE and copper Kα.
Kinematic intensities with the Lorentz-polarization factor, no thermal factor.

Cell and atoms:
a = 6.085 Å, b = 6.085 Å, c = 5.966 Å
α = 103.28°, β = 103.28°, γ = 121.00°
Fractional coordinates of all 8 atoms:
1 Hf 0.036 0.441 0.742
2 Hf 0.237 0.237 0.263
3 Hf 0.441 0.036 0.742
4 Hf 0.559 0.964 0.258
5 Hf 0.763 0.763 0.737
6 Hf 0.964 0.559 0.258
7 Fe 0.000 0.000 0.500
8 Pd 0.500 0.500 0.000

Most intense lines, 2θ = 15–90°, low angle first:
2θ/deg, d_spacing, I_rel
30.76, 2.907, 86
33.83, 2.650, 87
33.97, 2.639, 49
35.05, 2.560, 84
38.73, 2.325, 100
49.53, 1.840, 25
53.11, 1.724, 39
53.34, 1.718, 39
59.89, 1.544, 18
69.13, 1.359, 20


[10]
Diffraction record for LiAcZn10. The X-ray powder pattern is computed, not measured: it uses a crystal structure in Alexandria, relaxed with GGA-PBE and copper Kα.
Kinematic intensities with the Lorentz-polarization factor, no thermal factor.

Cell and atoms:
a = 4.418 Å, b = 5.126 Å, c = 9.595 Å
α = 90.00°, β = 90.00°, γ = 90.00°
Fractional coordinates of all 12 atoms:
1 Li 0.000 0.000 0.000
2 Ac 0.000 0.500 0.500
3 Zn 0.000 0.000 0.284
4 Zn 0.000 0.000 0.716
5 Zn 0.000 0.500 0.145
6 Zn 0.000 0.500 0.855
7 Zn 0.500 0.000 0.500
8 Zn 0.500 0.254 0.254
9 Zn 0.500 0.254 0.746
10 Zn 0.500 0.500 0.000
11 Zn 0.500 0.746 0.254
12 Zn 0.500 0.746 0.746

Most intense lines, 2θ = 15–90°, low angle first:
2θ/deg, d_spacing, I_rel
17.30, 5.126, 27
25.43, 3.503, 40
28.24, 3.160, 43
32.62, 2.745, 47
37.49, 2.399, 32
38.95, 2.312, 100
39.88, 2.261, 32
40.70, 2.217, 55
40.85, 2.209, 56
45.05, 2.013, 25


[11]
Diffraction record for Ag3Ge. The X-ray powder pattern is computed, not measured: it uses a crystal structure in Alexandria, relaxed with GGA-PBE and copper Kα.
Kinematic intensities with the Lorentz-polarization factor, no thermal factor.

Cell and atoms:
a = 2.955 Å, b = 4.824 Å, c = 5.069 Å
α = 90.00°, β = 90.00°, γ = 90.00°
Fractional coordinates of all 4 atoms:
1 Ag 0.000 0.000 0.000
2 Ag 0.000 0.500 0.327
3 Ag 0.500 0.000 0.501
4 Ge 0.500 0.500 0.827

Most intense lines, 2θ = 15–90°, low angle first:
2θ/deg, d_spacing, I_rel
35.16, 2.553, 27
35.42, 2.534, 11
37.28, 2.412, 42
39.96, 2.256, 100
40.19, 2.244, 53
52.18, 1.753, 17
63.42, 1.467, 16
69.03, 1.360, 19
75.93, 1.253, 19
77.34, 1.234, 14


[12]
Diffraction record for Pr2Pt15Pb2. The X-ray powder pattern is computed, not measured: it uses a crystal structure in Alexandria, relaxed with GGA-PBE and copper Kα.
Kinematic intensities with the Lorentz-polarization factor, no thermal factor.

Cell and atoms:
a = 7.117 Å, b = 7.117 Å, c = 7.117 Å
α = 84.19°, β = 84.19°, γ = 84.19°
Fractional coordinates of all 19 atoms:
1 Pr 0.144 0.144 0.144
2 Pr 0.856 0.856 0.856
3 Pt 0.000 0.500 0.500
4 Pt 0.159 0.159 0.674
5 Pt 0.159 0.674 0.159
6 Pt 0.170 0.500 0.830
7 Pt 0.170 0.830 0.500
8 Pt 0.326 0.841 0.841
9 Pt 0.500 0.000 0.500
10 Pt 0.500 0.170 0.830
11 Pt 0.500 0.500 0.000
12 Pt 0.500 0.830 0.170
13 Pt 0.674 0.159 0.159
14 Pt 0.830 0.170 0.500
15 Pt 0.830 0.500 0.170
16 Pt 0.841 0.326 0.841
17 Pt 0.841 0.841 0.326
18 Pb 0.394 0.394 0.394
19 Pb 0.606 0.606 0.606

Most intense lines, 2θ = 15–90°, low angle first:
2θ/deg, d_spacing, I_rel
32.50, 2.755, 35
37.71, 2.386, 50
38.30, 2.350, 93
40.02, 2.253, 32
42.89, 2.108, 100
44.47, 2.037, 28
61.87, 1.500, 22
68.07, 1.377, 33
71.55, 1.319, 22
81.99, 1.175, 24